Record 1
This entry pairs a crystal structure of RbMn2H with its computed powder diffractogram. Radiation: Cu Kα X-rays. Structure: a DFT-relaxed cell (PBE, Alexandria).
Lines closer than 0.1° are merged.

Structural model:
a = 5.984 Å, b = 5.984 Å, c = 5.984 Å
α = 60.00°, β = 60.00°, γ = 60.00°
Element x y z (fractional)
Rb 0.125 0.125 0.125
Rb 0.875 0.875 0.875
Mn 0.000 0.500 0.500
Mn 0.500 0.000 0.500
Mn 0.500 0.500 0.000
Mn 0.500 0.500 0.500
H 0.375 0.375 0.375
H 0.625 0.625 0.625

Largest 8 diffraction maxima, in order of rising 2θ, 2θ = 10–90°:
29.9 deg, I 44.8
35.2 deg, I 100.0
36.8 deg, I 27.3
53.0 deg, I 16.9
56.5 deg, I 31.9
62.0 deg, I 25.8
73.4 deg, I 10.7
88.8 deg, I 19.7


Record 2
This entry pairs a crystal structure of HfH with its computed powder diffractogram. Radiation: Cu Kα X-rays. Structure: a DFT-relaxed cell (PBE, Alexandria).
Lines closer than 0.1° are merged.

Structural model:
a = 5.532 Å, b = 5.518 Å, c = 4.753 Å
α = 64.69°, β = 64.36°, γ = 50.95°
Element x y z (fractional)
Hf 0.111 0.639 0.111
Hf 0.361 0.889 0.361
Hf 0.639 0.111 0.639
Hf 0.889 0.361 0.889
H 0.253 0.253 0.497
H 0.497 0.497 0.253
H 0.503 0.503 0.747
H 0.747 0.747 0.503

Largest 8 diffraction maxima, in order of rising 2θ, 2θ = 10–90°:
33.5 deg, I 97.9
33.7 deg, I 100.0
37.9 deg, I 69.5
41.2 deg, I 28.5
57.2 deg, I 43.7
65.5 deg, I 26.0
65.8 deg, I 28.3
70.2 deg, I 23.8


Record 3
This entry pairs a crystal structure of Ca3GeCl8 with its computed powder diffractogram. Radiation: Cu Kα X-rays. Structure: a DFT-relaxed cell (PBE, Alexandria).
Lines closer than 0.1° are merged.

Structural model:
a = 7.942 Å, b = 7.942 Å, c = 8.028 Å
α = 118.33°, β = 118.33°, γ = 62.07°
Element x y z (fractional)
Ca 0.000 0.000 0.000
Ca 0.000 0.500 0.500
Ca 0.500 0.000 0.500
Ge 0.500 0.500 0.000
Cl 0.241 0.241 0.263
Cl 0.247 0.739 0.766
Cl 0.261 0.261 0.742
Cl 0.261 0.753 0.234
Cl 0.739 0.247 0.766
Cl 0.739 0.739 0.258
Cl 0.753 0.261 0.234
Cl 0.759 0.759 0.737

Largest 8 diffraction maxima, in order of rising 2θ, 2θ = 10–90°:
13.8 deg, I 100.0
25.5 deg, I 20.9
31.2 deg, I 89.2
31.6 deg, I 43.9
41.4 deg, I 18.7
44.3 deg, I 47.7
45.7 deg, I 24.9
55.4 deg, I 14.8


Record 4
This entry pairs a crystal structure of CsYMn2Br8 with its computed powder diffractogram. Radiation: Cu Kα X-rays. Structure: a DFT-relaxed cell (PBE, Alexandria).
Lines closer than 0.1° are merged.

Structural model:
a = 11.878 Å, b = 11.878 Å, c = 11.878 Å
α = 33.56°, β = 33.56°, γ = 33.56°
Element x y z (fractional)
Cs 0.000 0.000 0.000
Y 0.500 0.500 0.500
Mn 0.244 0.244 0.244
Mn 0.756 0.756 0.756
Br 0.135 0.433 0.769
Br 0.231 0.567 0.865
Br 0.316 0.316 0.316
Br 0.433 0.769 0.135
Br 0.567 0.865 0.231
Br 0.684 0.684 0.684
Br 0.769 0.135 0.433
Br 0.865 0.231 0.567

Largest 8 diffraction maxima, in order of rising 2θ, 2θ = 10–90°:
18.3 deg, I 82.4
23.8 deg, I 71.5
26.0 deg, I 100.0
27.2 deg, I 95.9
30.6 deg, I 89.8
35.5 deg, I 59.4
41.6 deg, I 86.4
45.8 deg, I 98.1


Record 5
This entry pairs a crystal structure of Li3Mg5In with its computed powder diffractogram. Radiation: Cu Kα X-rays. Structure: a DFT-relaxed cell (PBE, Alexandria).
Lines closer than 0.1° are merged.

Structural model:
a = 6.367 Å, b = 6.367 Å, c = 10.862 Å
α = 95.02°, β = 95.02°, γ = 77.65°
Element x y z (fractional)
Li 0.000 0.000 0.000
Li 0.000 0.000 0.500
Li 0.243 0.243 0.386
Li 0.258 0.258 0.940
Li 0.742 0.742 0.060
Li 0.757 0.757 0.614
Mg 0.009 0.408 0.160
Mg 0.285 0.285 0.648
Mg 0.319 0.681 0.500
Mg 0.408 0.009 0.160
Mg 0.476 0.476 0.150
Mg 0.524 0.524 0.850
Mg 0.592 0.991 0.840
Mg 0.681 0.319 0.500
Mg 0.715 0.715 0.352
Mg 0.991 0.592 0.840
In 0.029 0.029 0.749
In 0.971 0.971 0.251

Largest 8 diffraction maxima, in order of rising 2θ, 2θ = 10–90°:
14.3 deg, I 87.2
16.4 deg, I 68.1
22.3 deg, I 38.2
22.6 deg, I 100.0
27.8 deg, I 46.2
28.8 deg, I 39.4
32.3 deg, I 80.7
36.5 deg, I 40.4


Record 6
This entry pairs a crystal structure of Cs2Na12Cd7 with its computed powder diffractogram. Radiation: Cu Kα X-rays. Structure: a DFT-relaxed cell (PBE, Alexandria).
Lines closer than 0.1° are merged.

Structural model:
a = 12.309 Å, b = 12.309 Å, c = 5.538 Å
α = 90.00°, β = 90.00°, γ = 120.00°
Element x y z (fractional)
Cs 0.000 0.000 0.000
Cs 0.333 0.667 0.500
Na 0.169 0.390 0.000
Na 0.221 0.831 0.000
Na 0.293 0.288 0.500
Na 0.371 0.158 0.000
Na 0.536 0.149 0.500
Na 0.610 0.779 0.000
Na 0.613 0.464 0.500
Na 0.712 0.005 0.500
Na 0.788 0.629 0.000
Na 0.842 0.212 0.000
Na 0.851 0.387 0.500
Na 0.995 0.707 0.500
Cd 0.012 0.248 0.500
Cd 0.236 0.988 0.500
Cd 0.471 0.458 0.000
Cd 0.542 0.013 0.000
Cd 0.667 0.333 0.000
Cd 0.752 0.764 0.500
Cd 0.987 0.529 0.000

Largest 8 diffraction maxima, in order of rising 2θ, 2θ = 10–90°:
22.1 deg, I 47.6
23.2 deg, I 100.0
27.4 deg, I 57.6
29.0 deg, I 35.5
32.3 deg, I 46.5
33.3 deg, I 60.9
34.4 deg, I 42.5
40.3 deg, I 32.9


Record 7
This entry pairs a crystal structure of Ac4Pt2AuCl with its computed powder diffractogram. Radiation: Cu Kα X-rays. Structure: a DFT-relaxed cell (PBE, Alexandria).
Lines closer than 0.1° are merged.

Structural model:
a = 6.332 Å, b = 6.332 Å, c = 12.578 Å
α = 90.00°, β = 90.00°, γ = 90.00°
Element x y z (fractional)
Ac 0.000 0.000 0.241
Ac 0.000 0.000 0.759
Ac 0.000 0.500 0.000
Ac 0.000 0.500 0.500
Ac 0.500 0.000 0.000
Ac 0.500 0.000 0.500
Ac 0.500 0.500 0.259
Ac 0.500 0.500 0.741
Pt 0.000 0.500 0.250
Pt 0.000 0.500 0.750
Pt 0.500 0.000 0.250
Pt 0.500 0.000 0.750
Au 0.000 0.000 0.000
Au 0.500 0.500 0.500
Cl 0.000 0.000 0.500
Cl 0.500 0.500 0.000

Largest 8 diffraction maxima, in order of rising 2θ, 2θ = 10–90°:
28.2 deg, I 100.0
28.4 deg, I 48.5
40.3 deg, I 39.1
40.4 deg, I 76.3
50.0 deg, I 41.7
66.0 deg, I 18.7
66.1 deg, I 18.3
73.3 deg, I 27.3


Record 8
This entry pairs a crystal structure of Mg3NpN4 with its computed powder diffractogram. Radiation: Cu Kα X-rays. Structure: a DFT-relaxed cell (PBE, Alexandria).
Lines closer than 0.1° are merged.

Structural model:
a = 5.518 Å, b = 6.362 Å, c = 5.683 Å
α = 90.00°, β = 111.18°, γ = 90.00°
Element x y z (fractional)
Mg 0.000 0.109 0.250
Mg 0.000 0.369 0.750
Mg 0.000 0.631 0.250
Mg 0.000 0.891 0.750
Mg 0.500 0.126 0.750
Mg 0.500 0.874 0.250
Np 0.500 0.358 0.250
Np 0.500 0.642 0.750
N 0.253 0.131 0.013
N 0.253 0.869 0.513
N 0.271 0.390 0.503
N 0.271 0.610 0.003
N 0.729 0.390 0.997
N 0.729 0.610 0.497
N 0.747 0.131 0.487
N 0.747 0.869 0.987

Largest 8 diffraction maxima, in order of rising 2θ, 2θ = 10–90°:
13.9 deg, I 58.5
17.2 deg, I 100.0
21.8 deg, I 67.9
22.2 deg, I 44.6
23.8 deg, I 60.4
34.2 deg, I 54.4
39.0 deg, I 39.9
40.2 deg, I 70.9


Record 9
This entry pairs a crystal structure of LiBeH3 with its computed powder diffractogram. Radiation: Cu Kα X-rays. Structure: a DFT-relaxed cell (PBE, Alexandria).
Lines closer than 0.1° are merged.

Structural model:
a = 6.022 Å, b = 6.139 Å, c = 6.784 Å
α = 104.02°, β = 97.27°, γ = 90.39°
Element x y z (fractional)
Li 0.010 0.252 0.004
Li 0.239 0.933 0.685
Li 0.254 0.427 0.703
Li 0.746 0.573 0.297
Li 0.761 0.067 0.315
Li 0.990 0.748 0.996
Be 0.225 0.118 0.316
Be 0.228 0.548 0.325
Be 0.435 0.782 0.128
Be 0.565 0.218 0.872
Be 0.772 0.452 0.675
Be 0.775 0.882 0.684
H 0.025 0.037 0.184
H 0.027 0.563 0.195
H 0.200 0.137 0.521
H 0.221 0.634 0.536
H 0.293 0.729 0.938
H 0.294 0.320 0.269
H 0.330 0.223 0.888
H 0.424 0.636 0.265
H 0.425 0.004 0.261
H 0.575 0.996 0.739
H 0.576 0.364 0.735
H 0.670 0.777 0.112
H 0.706 0.680 0.731
H 0.707 0.271 0.062
H 0.779 0.366 0.464
H 0.800 0.863 0.479
H 0.973 0.437 0.805
H 0.975 0.963 0.816

Largest 8 diffraction maxima, in order of rising 2θ, 2θ = 10–90°:
25.7 deg, I 31.4
27.3 deg, I 44.8
29.9 deg, I 37.6
31.3 deg, I 44.7
34.7 deg, I 47.8
35.5 deg, I 100.0
36.1 deg, I 95.0
43.8 deg, I 46.1


Record 10
This entry pairs a crystal structure of Sr2SI2 with its computed powder diffractogram. Radiation: Cu Kα X-rays. Structure: a DFT-relaxed cell (PBE, Alexandria).
Lines closer than 0.1° are merged.

Structural model:
a = 11.102 Å, b = 11.102 Å, c = 8.232 Å
α = 90.00°, β = 90.00°, γ = 155.91°
Element x y z (fractional)
Sr 0.018 0.982 0.500
Sr 0.335 0.665 0.365
Sr 0.665 0.335 0.865
Sr 0.982 0.018 0.000
S 0.088 0.912 0.793
S 0.912 0.088 0.293
I 0.261 0.739 0.016
I 0.431 0.569 0.723
I 0.569 0.431 0.223
I 0.739 0.261 0.516

Largest 8 diffraction maxima, in order of rising 2θ, 2θ = 10–90°:
19.6 deg, I 46.6
22.8 deg, I 31.5
25.3 deg, I 100.0
27.2 deg, I 49.1
29.3 deg, I 35.7
30.2 deg, I 43.8
36.5 deg, I 39.0
38.3 deg, I 32.9


Record 11
This entry pairs a crystal structure of Tl2CuSbO4 with its computed powder diffractogram. Radiation: Cu Kα X-rays. Structure: a DFT-relaxed cell (PBE, Alexandria).
Lines closer than 0.1° are merged.

Structural model:
a = 6.851 Å, b = 8.336 Å, c = 5.516 Å
α = 90.00°, β = 90.00°, γ = 90.00°
Element x y z (fractional)
Tl 0.249 0.167 0.000
Tl 0.251 0.833 0.500
Tl 0.749 0.833 0.500
Tl 0.751 0.167 0.000
Cu 0.000 0.339 0.507
Cu 0.500 0.661 0.007
Sb 0.000 0.597 0.973
Sb 0.500 0.403 0.473
O 0.000 0.385 0.114
O 0.000 0.609 0.624
O 0.229 0.714 0.079
O 0.271 0.286 0.579
O 0.500 0.391 0.124
O 0.500 0.615 0.614
O 0.729 0.286 0.579
O 0.771 0.714 0.079

Largest 8 diffraction maxima, in order of rising 2θ, 2θ = 10–90°:
19.3 deg, I 34.2
26.8 deg, I 100.0
28.2 deg, I 43.0
32.5 deg, I 43.1
32.6 deg, I 86.4
41.9 deg, I 29.1
43.5 deg, I 29.1
53.9 deg, I 27.0


Record 12
This entry pairs a crystal structure of Pm4CuCl5 with its computed powder diffractogram. Radiation: Cu Kα X-rays. Structure: a DFT-relaxed cell (PBE, Alexandria).
Lines closer than 0.1° are merged.

Structural model:
a = 9.160 Å, b = 9.160 Å, c = 8.410 Å
α = 102.44°, β = 102.44°, γ = 24.92°
Element x y z (fractional)
Pm 0.002 0.002 0.234
Pm 0.340 0.340 0.920
Pm 0.660 0.660 0.080
Pm 0.998 0.998 0.766
Cu 0.500 0.500 0.000
Cl 0.167 0.167 0.324
Cl 0.170 0.170 0.833
Cl 0.500 0.500 0.500
Cl 0.830 0.830 0.167
Cl 0.833 0.833 0.676

Largest 8 diffraction maxima, in order of rising 2θ, 2θ = 10–90°:
10.1 deg, I 37.3
10.8 deg, I 87.6
27.3 deg, I 21.8
30.7 deg, I 60.4
31.1 deg, I 100.0
43.0 deg, I 18.8
44.0 deg, I 36.4
44.5 deg, I 35.1